[1]
Calculated PXRD pattern
Compound: Mg2Hg6Pb
Radiation: Cu Kα, 1.54184 Å
Structure: a structure optimized by DFT (GGA-PBE)
Lines closer than 0.1° are merged.

Structure:
Cell lengths 11.0158, 11.0158, 11.0158 Å; angles 154.34, 154.34, 36.61 degrees
Fractional coordinates of all 9 atoms:
1 Mg 0.1724 0.1724 0.0000
2 Mg 0.8276 0.8276 0.0000
3 Hg 0.0955 0.5955 0.5000
4 Hg 0.2500 0.7500 0.5000
5 Hg 0.4045 0.9045 0.5000
6 Hg 0.5955 0.0955 0.5000
7 Hg 0.7500 0.2500 0.5000
8 Hg 0.9045 0.4045 0.5000
9 Pb 0.5000 0.5000 0.0000

The 10 most intense peaks (10° ≤ 2θ ≤ 90°), in order of rising 2θ:
d_spacing	I_rel
3.486	25
3.460	58
2.456	100
2.447	56
2.003	22
1.730	20
1.548	22
1.420	13
1.414	37
1.094	19

***

[2]
Calculated PXRD pattern
Compound: Mg7Hg12Pb
Radiation: Cu Kα, 1.54184 Å
Structure: a structure optimized by DFT (GGA-PBE)
Lines closer than 0.1° are merged.

Structure:
Cell lengths 9.0990, 9.0990, 9.0990 Å; angles 109.47, 109.47, 109.47 degrees
Fractional coordinates of all 20 atoms:
1 Mg 0.0000 0.0000 0.5000
2 Mg 0.0000 0.5000 0.0000
3 Mg 0.0000 0.5000 0.5000
4 Mg 0.5000 0.0000 0.0000
5 Mg 0.5000 0.0000 0.5000
6 Mg 0.5000 0.5000 0.0000
7 Mg 0.5000 0.5000 0.5000
8 Hg 0.1225 0.8407 0.2817
9 Hg 0.1593 0.2817 0.4410
10 Hg 0.1593 0.7183 0.8775
11 Hg 0.2817 0.1225 0.8407
12 Hg 0.2817 0.4410 0.1593
13 Hg 0.4410 0.1593 0.2817
14 Hg 0.5590 0.8407 0.7183
15 Hg 0.7183 0.5590 0.8407
16 Hg 0.7183 0.8775 0.1593
17 Hg 0.8407 0.2817 0.1225
18 Hg 0.8407 0.7183 0.5590
19 Hg 0.8775 0.1593 0.7183
20 Pb 0.0000 0.0000 0.0000

The 10 most intense peaks (10° ≤ 2θ ≤ 90°), in order of rising 2θ:
d_spacing	I_rel
7.429	41
3.323	88
3.033	32
2.808	100
2.627	20
2.349	50
2.145	27
1.802	55
1.704	30
1.334	22

***

[3]
Calculated PXRD pattern
Compound: MgHg5Pb2
Radiation: Cu Kα, 1.54184 Å
Structure: a structure optimized by DFT (GGA-PBE)
Lines closer than 0.1° are merged.

Structure:
Cell lengths 4.7654, 4.7654, 9.5943 Å; angles 103.04, 103.04, 90.28 degrees
Fractional coordinates of all 8 atoms:
1 Mg 0.0000 0.0000 0.0000
2 Hg 0.1137 0.6190 0.2281
3 Hg 0.3810 0.8863 0.7719
4 Hg 0.5000 0.5000 0.0000
5 Hg 0.6190 0.1137 0.2281
6 Hg 0.8863 0.3810 0.7719
7 Pb 0.2440 0.2440 0.4859
8 Pb 0.7560 0.7560 0.5141

The 10 most intense peaks (10° ≤ 2θ ≤ 90°), in order of rising 2θ:
d_spacing	I_rel
2.744	52
2.711	100
2.661	47
2.382	74
2.273	26
1.663	21
1.626	18
1.440	15
1.438	15
1.426	14

***

[4]
Calculated PXRD pattern
Compound: Rb2MgHg6Pb
Radiation: Cu Kα, 1.54184 Å
Structure: a structure optimized by DFT (GGA-PBE)
Lines closer than 0.1° are merged.

Structure:
Cell lengths 7.2375, 7.6230, 7.6310 Å; angles 66.31, 68.67, 68.10 degrees
Fractional coordinates of all 10 atoms:
1 Rb 0.1847 0.2173 0.3995
2 Rb 0.8153 0.7827 0.6005
3 Mg 0.0000 0.0000 0.0000
4 Hg 0.1500 0.3408 0.8670
5 Hg 0.2928 0.7163 0.8149
6 Hg 0.3680 0.8400 0.1326
7 Hg 0.6320 0.1600 0.8674
8 Hg 0.7072 0.2837 0.1851
9 Hg 0.8500 0.6592 0.1330
10 Pb 0.5000 0.5000 0.5000

The 10 most intense peaks (10° ≤ 2θ ≤ 90°), in order of rising 2θ:
d_spacing	I_rel
6.754	72
5.729	55
3.493	100
3.365	42
3.288	82
3.193	81
2.729	37
2.708	91
2.661	77
2.599	70

***

[5]
Calculated PXRD pattern
Compound: Sr2MgHg6Pb
Radiation: Cu Kα, 1.54184 Å
Structure: a structure optimized by DFT (GGA-PBE)
Lines closer than 0.1° are merged.

Structure:
Cell lengths 5.6054, 5.9297, 9.3067 Å; angles 75.27, 73.54, 77.19 degrees
Fractional coordinates of all 10 atoms:
1 Sr 0.1171 0.3869 0.1952
2 Sr 0.8829 0.6131 0.8048
3 Mg 0.5000 0.5000 0.5000
4 Hg 0.0391 0.7791 0.4211
5 Hg 0.3966 0.8832 0.6714
6 Hg 0.4798 0.2504 0.8465
7 Hg 0.5202 0.7496 0.1535
8 Hg 0.6034 0.1168 0.3286
9 Hg 0.9609 0.2209 0.5789
10 Pb 0.0000 0.0000 0.0000

The 10 most intense peaks (10° ≤ 2θ ≤ 90°), in order of rising 2θ:
d_spacing	I_rel
5.660	28
3.860	23
3.361	24
3.033	22
2.832	100
2.821	53
2.653	33
2.618	85
2.301	42
1.771	24

***

[6]
Calculated PXRD pattern
Compound: MgHg5Pd6
Radiation: Cu Kα, 1.54184 Å
Structure: a structure optimized by DFT (GGA-PBE)
Lines closer than 0.1° are merged.

Structure:
Cell lengths 7.8021, 7.8021, 7.8021 Å; angles 147.91, 121.36, 68.43 degrees
Fractional coordinates of all 12 atoms:
1 Mg 0.0000 0.0000 0.0000
2 Hg 0.1629 0.6629 0.5000
3 Hg 0.3324 0.3324 0.0000
4 Hg 0.5000 0.0000 0.5000
5 Hg 0.6676 0.6676 0.0000
6 Hg 0.8371 0.3371 0.5000
7 Pd 0.0825 0.8357 0.2468
8 Pd 0.2458 0.5000 0.7458
9 Pd 0.4110 0.1643 0.2468
10 Pd 0.5890 0.8357 0.7532
11 Pd 0.7542 0.5000 0.2542
12 Pd 0.9175 0.1643 0.7532

The 10 most intense peaks (10° ≤ 2θ ≤ 90°), in order of rising 2θ:
d_spacing	I_rel
2.381	100
2.156	19
2.151	19
1.910	13
1.523	12
1.429	20
1.284	14
1.282	14
1.191	11
1.175	11